Structure and theoretical X-ray diffraction stick pattern of CaMg11Ag (DFT lattice parameters and positions (PBE); Cu Kα (λ = 1.5418 Å)).
Lines closer than 0.1° are merged.

Atomic structure:
abc: 5.7569 14.5914 7.7964
angles: 90.00 110.30 90.00
Space group C2/m (No. 12)
Symmetry-distinct sites (fractional):
Ca (0.0000, 0.0000, 0.0000)
Mg (0.0000, 0.0000, 0.5000)
Mg (0.1008, 0.3942, 0.2196)
Mg (0.1790, 0.1742, 0.3577)
Mg (0.2500, 0.2500, 0.0000)
Ag (0.0000, 0.5000, 0.5000)

Most intense lines, 5 to 70 degrees two-theta, sorted by position:
- 12.12 deg, I = 967, (0 2 0)
- 17.17 deg, I = 603, (0 2 1)
- 24.40 deg, I = 631, (1 1 1)
- 30.02 deg, I = 628, (1 3 1)
- 34.74 deg, I = 1000, (0 4 2)
- 35.08 deg, I = 508, (1 5 -1)
- 35.29 deg, I = 534, (1 1 -3)
- 35.45 deg, I = 690, (2 2 0)
- 35.98 deg, I = 635, (2 2 -2)
- 38.94 deg, I = 509, (0 2 3)